[1]
Simulated X-ray powder pattern of CdGaAu2 for Cu Kα X-rays, from a crystal structure in OQMD, relaxed with GGA-PBE.
Kinematic intensities with the Lorentz-polarization factor, no thermal factor.

Most intense lines, 2θ = 10–90°, in order of rising 2θ:
d = 3.879 Å, I 15.1
d = 3.360 Å, I 0.6
d = 2.376 Å, I 100.0
d = 2.026 Å, I 8.5
d = 1.680 Å, I 17.3
d = 1.541 Å, I 3.7
d = 1.372 Å, I 35.2
d = 1.293 Å, I 2.9
d = 1.188 Å, I 11.2
d = 1.136 Å, I 3.1

Crystal structure
Unit cell a=4.751 b=4.751 c=4.751 alpha=60.00 beta=60.00 gamma=60.00
Positions (direct):
Cd 0.000 0.000 0.000
Ga 0.750 0.750 0.750
Au 0.250 0.250 0.250
Au 0.500 0.500 0.500


[2]
Simulated X-ray powder pattern of Tb3Cd3InGaAu for Cu Kα X-rays, from a crystal structure in OQMD, relaxed with GGA-PBE.
Kinematic intensities with the Lorentz-polarization factor, no thermal factor.

Most intense lines, 2θ = 10–90°, in order of rising 2θ:
d = 2.842 Å, I 72.0
d = 2.605 Å, I 100.0
d = 2.467 Å, I 37.7
d = 2.176 Å, I 22.2
d = 2.163 Å, I 26.8
d = 2.143 Å, I 19.7
d = 1.811 Å, I 11.7
d = 1.670 Å, I 14.5
d = 1.626 Å, I 20.7
d = 1.534 Å, I 14.5
d = 1.415 Å, I 23.1
d = 1.319 Å, I 11.7

Crystal structure
Unit cell a=7.538 b=7.538 c=4.325 alpha=90.00 beta=90.00 gamma=120.00
Positions (direct):
Tb 0.003 0.574 0.000
Tb 0.426 0.428 0.000
Tb 0.572 0.997 0.000
Cd 0.259 0.006 0.500
Cd 0.746 0.741 0.500
Cd 0.994 0.254 0.500
In 0.000 0.000 0.000
Ga 0.667 0.333 0.500
Au 0.333 0.667 0.500


[3]
Simulated X-ray powder pattern of Li4CdGa2Au for Cu Kα X-rays, from a crystal structure in OQMD, relaxed with GGA-PBE.
Kinematic intensities with the Lorentz-polarization factor, no thermal factor.

Most intense lines, 2θ = 10–90°, in order of rising 2θ:
d = 6.330 Å, I 7.0
d = 3.642 Å, I 100.0
d = 3.148 Å, I 8.6
d = 2.232 Å, I 55.9
d = 2.226 Å, I 28.0
d = 1.907 Å, I 16.5
d = 1.899 Å, I 33.0
d = 1.574 Å, I 9.3
d = 1.448 Å, I 13.3
d = 1.290 Å, I 9.1
d = 1.286 Å, I 18.6
d = 1.212 Å, I 7.6

Crystal structure
Unit cell a=4.452 b=4.452 c=6.330 alpha=90.00 beta=90.00 gamma=90.00
Positions (direct):
Li 0.000 0.000 0.000
Li 0.000 0.500 0.737
Li 0.500 0.000 0.263
Li 0.500 0.500 0.500
Cd 0.500 0.500 0.000
Ga 0.000 0.500 0.265
Ga 0.500 0.000 0.735
Au 0.000 0.000 0.500


[4]
Simulated X-ray powder pattern of Gd3Cd2InPt2Au for Cu Kα X-rays, from a crystal structure in OQMD, relaxed with GGA-PBE.
Kinematic intensities with the Lorentz-polarization factor, no thermal factor.

Most intense lines, 2θ = 10–90°, in order of rising 2θ:
d = 3.372 Å, I 12.3
d = 2.750 Å, I 67.6
d = 2.545 Å, I 100.0
d = 2.537 Å, I 19.0
d = 2.245 Å, I 15.4
d = 2.237 Å, I 30.9
d = 2.129 Å, I 22.0
d = 2.125 Å, I 11.9
d = 1.950 Å, I 21.7
d = 1.546 Å, I 11.9
d = 1.470 Å, I 19.3
d = 1.435 Å, I 21.2

Crystal structure
Unit cell a=3.899 b=7.767 c=7.767 alpha=120.23 beta=90.00 gamma=90.00
Positions (direct):
Gd 0.000 0.000 0.000
Gd 0.000 0.183 0.594
Gd 0.000 0.594 0.183
Cd 0.500 0.592 0.857
Cd 0.500 0.857 0.592
In 0.500 0.331 0.331
Pt 0.500 0.260 0.930
Pt 0.500 0.930 0.260
Au 0.000 0.592 0.592


[5]
Simulated X-ray powder pattern of LiGdCd2Au4 for Cu Kα X-rays, from a crystal structure in OQMD, relaxed with GGA-PBE.
Kinematic intensities with the Lorentz-polarization factor, no thermal factor.

Most intense lines, 2θ = 10–90°, in order of rising 2θ:
d = 3.435 Å, I 14.9
d = 3.384 Å, I 6.4
d = 3.063 Å, I 8.5
d = 2.429 Å, I 53.1
d = 2.411 Å, I 100.0
d = 1.973 Å, I 6.2
d = 1.717 Å, I 18.6
d = 1.692 Å, I 7.5
d = 1.399 Å, I 36.2
d = 1.388 Å, I 15.6
d = 1.214 Å, I 6.0
d = 1.205 Å, I 10.0

Crystal structure
Unit cell a=4.857 b=4.857 c=6.769 alpha=90.00 beta=90.00 gamma=90.00
Positions (direct):
Li 0.000 0.000 0.000
Gd 0.500 0.500 0.500
Cd 0.000 0.000 0.500
Cd 0.500 0.500 0.000
Au 0.000 0.500 0.231
Au 0.000 0.500 0.769
Au 0.500 0.000 0.231
Au 0.500 0.000 0.769


[6]
Simulated X-ray powder pattern of Pr2GdCd3Au3 for Cu Kα X-rays, from a crystal structure in OQMD, relaxed with GGA-PBE.
Kinematic intensities with the Lorentz-polarization factor, no thermal factor.

Most intense lines, 2θ = 10–90°, in order of rising 2θ:
d = 3.956 Å, I 19.3
d = 3.477 Å, I 13.7
d = 2.824 Å, I 76.7
d = 2.611 Å, I 100.0
d = 2.592 Å, I 22.2
d = 2.286 Å, I 35.8
d = 2.279 Å, I 17.6
d = 2.181 Å, I 32.4
d = 2.017 Å, I 25.6
d = 1.591 Å, I 14.0
d = 1.512 Å, I 29.3
d = 1.463 Å, I 23.5

Crystal structure
Unit cell a=4.034 b=7.903 c=7.903 alpha=119.79 beta=90.00 gamma=90.00
Positions (direct):
Pr 0.000 0.202 0.798
Pr 0.000 0.798 0.202
Gd 0.000 0.392 0.392
Cd 0.500 0.057 0.057
Cd 0.500 0.539 0.795
Cd 0.500 0.795 0.539
Au 0.000 0.795 0.795
Au 0.500 0.137 0.463
Au 0.500 0.463 0.137


- Number 6 is which compound?
  Pr2GdCd3Au3